Calculated X-ray diffraction stick pattern of TbBe6Co2 for λ = 1.5418 Å (Cu Kα), from a cell relaxed with PBE.

Principal peaks in the range 10 to 90 degrees two-theta, in order of rising 2θ:
19.05 deg, 4.658 Å, intensity 39, (0 0 2)
26.68 deg, 3.341 Å, intensity 100, (1 0 1)
29.71 deg, 3.007 Å, intensity 51, (0 2 0)
32.45 deg, 2.759 Å, intensity 81, (0 1 3)
34.96 deg, 2.567 Å, intensity 58, (1 1 2)
35.54 deg, 2.526 Å, intensity 23, (0 2 2)
40.36 deg, 2.235 Å, intensity 83, (1 2 1)
49.06 deg, 1.857 Å, intensity 64, (1 1 4)
54.47 deg, 1.684 Å, intensity 21, (0 3 3)
61.77 deg, 1.502 Å, intensity 31, (0 4 0)

```
data_TbBe6Co2
_space_group_name_H-M_alt 'I m m m'
_space_group_IT_number 71
_space_group_name_Hall '-I 2 2'
_cell_length_a 3.5790
_cell_length_b 6.0134
_cell_length_c 9.3170
_cell_angle_alpha 90.00
_cell_angle_beta 90.00
_cell_angle_gamma 90.00
loop_
_atom_site_label
_atom_site_fract_x
_atom_site_fract_y
_atom_site_fract_z
_atom_site_occupancy
Tb1 0.0000 0.0000 0.0000 1
Be1 0.0000 0.1559 0.5000 1
Be2 0.0000 0.1930 0.2843 1
Co1 0.0000 0.5000 0.1338 1
```

=====

Calculated X-ray diffraction stick pattern of NaCaMgAlSi4O12 for λ = 1.5418 Å (Cu Kα), from a cell relaxed with PBE.

Principal peaks in the range 10 to 90 degrees two-theta, in order of rising 2θ:
27.91 deg, 3.197 Å, intensity 20, (2 2 0)
29.79 deg, 3.000 Å, intensity 100, (2 2 -1)
30.73 deg, 2.910 Å, intensity 66, (3 1 0)
35.08 deg, 2.558 Å, intensity 22, (1 3 -1)
35.37 deg, 2.538 Å, intensity 39, (0 0 2)
36.17 deg, 2.483 Å, intensity 36, (2 2 1)
42.45 deg, 2.129 Å, intensity 25, (3 3 -1)
44.72 deg, 2.027 Å, intensity 20, (0 4 1)
56.91 deg, 1.618 Å, intensity 18, (5 3 -1)
66.77 deg, 1.401 Å, intensity 19, (5 3 1)

```
data_NaCaMgAlSi4O12
_space_group_name_H-M_alt 'C 1 2 1'
_space_group_IT_number 5
_cell_length_a 9.7021
_cell_length_b 8.8418
_cell_length_c 5.3207
_cell_angle_alpha 90.00
_cell_angle_beta 107.44
_cell_angle_gamma 90.00
loop_
_space_group_symop_operation_xyz
'x,y,z'
'-x,y,-z'
'x+1/2,y+1/2,z'
'-x+1/2,y+1/2,-z'
loop_
_atom_site_label
_atom_site_fract_x
_atom_site_fract_y
_atom_site_fract_z
_atom_site_occupancy
Na1 0.0000 0.0000 0.0000 1
Ca1 0.0000 0.5995 0.5000 1
Mg1 0.0000 0.3879 0.0000 1
Al1 0.0000 0.1992 0.5000 1
Si1 0.2101 0.8925 0.5164 1
Si2 0.2140 0.7065 0.0283 1
O1 0.1098 0.2154 0.8612 1
O2 0.1137 0.3779 0.4035 1
O3 0.1358 0.0564 0.4462 1
O4 0.1402 0.5453 0.9389 1
O5 0.1431 0.7843 0.2482 1
O6 0.1546 0.8090 0.7492 1
```